For Ba4Pr7Si12BN27, a crystal structure in Alexandria, relaxed with PBE gives the calculated powder diffraction line list in this record (a wavelength of 1.5418 Å).
Neutral-atom scattering factors, no anomalous dispersion.

Peak list (10 most intense, 2θ from 5° to 70°, sorted by position)
8.24 deg, intensity 37, hkl 1 0 0; 21.66 deg, intensity 45, hkl 1 1 1; 23.21 deg, intensity 75, hkl 2 0 1; 24.89 deg, intensity 33, hkl 3 0 0; 27.36 deg, intensity 87, hkl 2 1 1; 30.02 deg, intensity 39, hkl 1 3 0; 32.71 deg, intensity 78, hkl 0 0 2; 33.23 deg, intensity 100, hkl 2 2 1; 34.29 deg, intensity 43, hkl 3 1 1; 38.44 deg, intensity 42, hkl 1 4 0

Crystal structure
Lattice parameters (Å, degrees): 12.3917 12.3917 5.4751 90.00 90.00 120.00
Space group P-6 (No. 174)
Asymmetric unit:
Ba (0.0000, 0.0000, 0.0000) x1
Ba (0.4157, 0.1785, 0.0000) x3
Pr (0.0420, 0.6990, 0.5000) x3
Pr (0.0866, 0.4470, 0.5000) x3
Pr (0.3333, 0.6667, 0.0000) x1
Si (0.0218, 0.5449, 0.0000) x3
Si (0.0289, 0.1591, 0.5000) x3
Si (0.1380, 0.3454, 0.0000) x3
Si (0.5712, 0.3978, 0.5000) x3
B (0.3333, 0.6667, 0.5000) x1
N (0.0599, 0.2595, 0.2545) x6
N (0.0923, 0.7062, 0.0000) x3
N (0.1220, 0.4812, 0.0000) x3
N (0.1446, 0.1158, 0.5000) x3
N (0.2242, 0.6839, 0.5000) x3
N (0.5072, 0.4379, 0.2571) x6
N (0.5094, 0.2394, 0.5000) x3